Calculated PXRD pattern
Compound: KSiTeO5
Radiation: a wavelength of 1.5418 Å
Structure: a cell relaxed with PBE
Kinematic intensities with the Lorentz-polarization factor, no thermal factor.

Structure:
```
KSiTeO5
1.0
3.557 -4.618 0.000
3.557 4.618 0.000
-3.409 0.000 6.794
K Si Te O
2 2 2 10
direct
0.164 0.836 0.750
0.836 0.164 0.250
0.190 0.810 0.250
0.810 0.190 0.750
0.500 0.500 0.000
0.500 0.500 0.500
0.110 0.271 0.900
0.203 0.621 0.379
0.271 0.110 0.400
0.379 0.797 0.121
0.438 0.562 0.750
0.562 0.438 0.250
0.621 0.203 0.879
0.729 0.890 0.600
0.797 0.379 0.621
0.890 0.729 0.100
```

The 6 most intense peaks (2θ = 5–70°), in order of rising 2θ:
2θ 16.93, I 99; 2θ 19.22, I 23; 2θ 25.44, I 100; 2θ 28.06, I 56; 2θ 32.30, I 59; 2θ 32.72, I 44